Record 1
Diffraction record for Cs5Na. The X-ray diffraction stick pattern is computed, not measured: it uses DFT lattice parameters and positions (PBE) and Cu Kα (weighted mean of Kα1 and Kα2).
Intensities are scaled so that the largest is 100.

Largest 10 diffraction maxima, in order of rising 2θ, 10 to 90 degrees two-theta:
2θ/deg	I (rel.)	hkl
17.7	28	1 1 -1
19.5	29	4 0 -1
20.8	65	4 0 -2
21.0	60	2 0 2
21.2	100	1 1 -2
22.5	97	3 1 0
32.1	33	5 1 -3
38.7	36	3 1 -5
38.9	28	4 2 -2
39.0	24	2 2 2

```
data_Cs5Na
_symmetry_space_group_name_H-M 'C 1 2/m 1'
_symmetry_Int_Tables_number 12
_symmetry_space_group_name_Hall '-C 2y'
_cell_length_a 18.2434
_cell_length_b 5.5215
_cell_length_c 12.8591
_cell_angle_alpha 90.00
_cell_angle_beta 111.32
_cell_angle_gamma 90.00
loop_
_atom_site_label
_atom_site_type_symbol
_atom_site_fract_x
_atom_site_fract_y
_atom_site_fract_z
Cs1 Cs 0.0000 0.0000 0.0000
Cs2 Cs 0.1358 0.5000 0.3650
Cs3 Cs 0.1697 0.5000 0.7950
Na1 Na 0.0000 0.0000 0.5000
```

Record 2
Diffraction record for Na4Pt. The X-ray diffraction stick pattern is computed, not measured: it uses DFT lattice parameters and positions (PBE) and Cu Kα (weighted mean of Kα1 and Kα2).
Intensities are scaled so that the largest is 100.

Largest 10 diffraction maxima, in order of rising 2θ, 10 to 90 degrees two-theta:
2θ/deg	I (rel.)	hkl
12.4	61	0 2 0
13.2	100	1 1 0
22.0	21	1 3 0
26.6	17	2 2 0
33.5	16	1 5 0
34.5	13	2 4 0
35.5	20	1 1 2
39.9	20	1 3 2
42.8	14	2 2 2
59.4	13	3 5 2

```
data_Na4Pt
_symmetry_space_group_name_H-M 'I b a m'
_symmetry_Int_Tables_number 72
_symmetry_space_group_name_Hall '-I 2 2c'
_cell_length_a 7.5708
_cell_length_b 14.3028
_cell_length_c 5.4557
_cell_angle_alpha 90.00
_cell_angle_beta 90.00
_cell_angle_gamma 90.00
loop_
_atom_site_label
_atom_site_type_symbol
_atom_site_fract_x
_atom_site_fract_y
_atom_site_fract_z
Na1 Na 0.1345 0.1703 0.0000
Na2 Na 0.1837 0.4250 0.0000
Pt1 Pt 0.0000 0.0000 0.2500
```

Record 3
Diffraction record for NdInTe2. The X-ray diffraction stick pattern is computed, not measured: it uses DFT lattice parameters and positions (PBE) and Cu Kα (weighted mean of Kα1 and Kα2).
Intensities are scaled so that the largest is 100.

Largest 10 diffraction maxima, in order of rising 2θ, 10 to 90 degrees two-theta:
2θ/deg	I (rel.)	hkl
23.9	33	0 1 2
29.0	100	0 1 5
34.1	39	1 0 7
40.0	51	1 1 0
43.0	19	1 0 10
43.5	10	0 0 12
50.2	22	2 0 5
53.5	11	0 2 7
60.6	23	1 1 12
66.0	19	1 2 5

```
data_NdInTe2
_symmetry_space_group_name_H-M 'R 3 m'
_symmetry_Int_Tables_number 160
_symmetry_space_group_name_Hall 'R 3 -2"'
_cell_length_a 4.5101
_cell_length_b 4.5101
_cell_length_c 24.9437
_cell_angle_alpha 90.00
_cell_angle_beta 90.00
_cell_angle_gamma 120.00
loop_
_atom_site_label
_atom_site_type_symbol
_atom_site_fract_x
_atom_site_fract_y
_atom_site_fract_z
Nd1 Nd 0.0000 0.0000 0.0000
In1 In 0.0000 0.0000 0.8309
Te1 Te 0.0000 0.0000 0.4077
Te2 Te 0.0000 0.0000 0.5928
```

Record 4
Diffraction record for HfNb3Zn8. The X-ray diffraction stick pattern is computed, not measured: it uses DFT lattice parameters and positions (PBE) and Cu Kα (weighted mean of Kα1 and Kα2).
Intensities are scaled so that the largest is 100.

Largest 10 diffraction maxima, in order of rising 2θ, 10 to 90 degrees two-theta:
2θ/deg	I (rel.)	hkl
35.0	51	1 1 0
38.7	97	1 0 3
40.7	15	2 0 0
41.6	100	1 1 2
42.2	82	2 0 1
65.3	35	2 1 3
67.3	23	0 3 2
71.6	27	0 2 5
74.1	26	2 2 0
86.9	18	1 3 3

```
data_HfNb3Zn8
_symmetry_space_group_name_H-M 'P 3 m 1'
_symmetry_Int_Tables_number 156
_symmetry_space_group_name_Hall 'P 3 -2"'
_cell_length_a 5.1205
_cell_length_b 5.1205
_cell_length_c 8.1919
_cell_angle_alpha 90.00
_cell_angle_beta 90.00
_cell_angle_gamma 120.00
loop_
_atom_site_label
_atom_site_type_symbol
_atom_site_fract_x
_atom_site_fract_y
_atom_site_fract_z
Hf1 Hf 0.0000 0.0000 0.0000
Nb1 Nb 0.0000 0.0000 0.3691
Nb2 Nb 0.6667 0.3333 0.5004
Nb3 Nb 0.6667 0.3333 0.8545
Zn1 Zn 0.1611 0.3222 0.6792
Zn2 Zn 0.3333 0.6667 0.4308
Zn3 Zn 0.3333 0.6667 0.9301
Zn4 Zn 0.5063 0.0126 0.1834
```